This entry pairs a crystal structure of Sm7Y12Ho with its computed powder X-ray diffraction pattern. Radiation: Cu Kα, 1.54184 Å. Structure: DFT lattice parameters and positions (GGA-PBE).
Lines closer than 0.1° are merged.

Main lines, in order of rising 2θ (5° ≤ 2θ ≤ 70°):
9.49 deg, rel. 53
27.41 deg, rel. 100
30.03 deg, rel. 85
33.03 deg, rel. 63
33.31 deg, rel. 84
35.81 deg, rel. 41
41.34 deg, rel. 44
47.62 deg, rel. 35

Cell and atoms:
```
Sm7Y12Ho
1.0
9.3174 5.3794 2.2726
-9.3174 5.3794 2.2726
0.0000 -10.7589 2.2726
Sm Y Ho
7 12 1
Direct
0.0000 0.0000 0.0000 Sm
0.1269 0.4315 0.2907 Sm
0.2907 0.1269 0.4315 Sm
0.4315 0.2907 0.1269 Sm
0.5685 0.7093 0.8731 Sm
0.7093 0.8731 0.5685 Sm
0.8731 0.5685 0.7093 Sm
0.0033 0.7896 0.5758 Y
0.2104 0.4242 0.9967 Y
0.2332 0.7556 0.3001 Y
0.2444 0.6999 0.7668 Y
0.3001 0.2332 0.7556 Y
0.4242 0.9967 0.2104 Y
0.5758 0.0033 0.7896 Y
0.6999 0.7668 0.2444 Y
0.7556 0.3001 0.2332 Y
0.7668 0.2444 0.6999 Y
0.7896 0.5758 0.0033 Y
0.9967 0.2104 0.4242 Y
0.5000 0.5000 0.5000 Ho
```

***

This entry pairs a crystal structure of Ho3Zn2Au6 with its computed powder X-ray diffraction pattern. Radiation: Cu Kα, 1.54184 Å. Structure: DFT lattice parameters and positions (GGA-PBE).
Lines closer than 0.1° are merged.

Main lines, in order of rising 2θ (5° ≤ 2θ ≤ 70°):
14.02 deg, rel. 28
32.87 deg, rel. 100
35.54 deg, rel. 38
36.62 deg, rel. 91
41.37 deg, rel. 57
42.32 deg, rel. 85
56.42 deg, rel. 41
61.39 deg, rel. 28

Cell and atoms:
```
Ho3Zn2Au6
1.0
-2.1357 2.1357 12.6297
2.1357 -2.1357 12.6297
2.1357 2.1357 -12.6297
Ho Zn Au
3 2 6
Direct
0.0000 0.0000 0.0000 Ho
0.1992 0.1992 0.0000 Ho
0.8008 0.8008 0.0000 Ho
0.4533 0.4533 0.0000 Zn
0.5467 0.5467 0.0000 Zn
0.1048 0.6048 0.5000 Au
0.3140 0.3140 0.0000 Au
0.3952 0.8952 0.5000 Au
0.6048 0.1048 0.5000 Au
0.6860 0.6860 0.0000 Au
0.8952 0.3952 0.5000 Au
```

***

This entry pairs a crystal structure of CoIr3Ru2 with its computed powder X-ray diffraction pattern. Radiation: Cu Kα, 1.54184 Å. Structure: DFT lattice parameters and positions (GGA-PBE).
Lines closer than 0.1° are merged.

Main lines, in order of rising 2θ (5° ≤ 2θ ≤ 70°):
38.36 deg, rel. 16
39.78 deg, rel. 29
40.04 deg, rel. 14
41.45 deg, rel. 47
43.82 deg, rel. 100
44.06 deg, rel. 50
49.97 deg, rel. 15
69.72 deg, rel. 20

Cell and atoms:
```
CoIr3Ru2
1.0
1.3577 -6.9933 0.0000
1.3577 6.9933 0.0000
0.0000 0.0000 8.7144
Co Ir Ru
2 6 4
Direct
0.0551 0.9449 0.7500 Co
0.9449 0.0551 0.2500 Co
0.1636 0.8364 0.5041 Ir
0.1636 0.8364 0.9959 Ir
0.3903 0.6097 0.7500 Ir
0.6097 0.3903 0.2500 Ir
0.8364 0.1636 0.0041 Ir
0.8364 0.1636 0.4959 Ir
0.2789 0.7211 0.2500 Ru
0.5000 0.5000 0.0000 Ru
0.5000 0.5000 0.5000 Ru
0.7211 0.2789 0.7500 Ru
```

***

This entry pairs a crystal structure of RbZrH2Cl8 with its computed powder X-ray diffraction pattern. Radiation: Cu Kα, 1.54184 Å. Structure: DFT lattice parameters and positions (GGA-PBE).
Lines closer than 0.1° are merged.

Main lines, in order of rising 2θ (5° ≤ 2θ ≤ 70°):
13.33 deg, rel. 100
14.53 deg, rel. 48
16.00 deg, rel. 44
19.16 deg, rel. 37
22.39 deg, rel. 35
27.70 deg, rel. 52
30.65 deg, rel. 57
34.94 deg, rel. 27

Cell and atoms:
```
RbZrH2Cl8
1.0
6.4996 0.0000 0.0000
2.2153 7.7780 0.0000
2.7201 2.9371 7.9414
Rb Zr H Cl
1 1 2 8
Direct
0.0000 0.0000 0.0000 Rb
0.0000 0.5000 0.5000 Zr
0.2891 0.2886 0.1531 H
0.7109 0.7114 0.8469 H
0.1426 0.5417 0.1947 Cl
0.1852 0.1806 0.5752 Cl
0.3195 0.6273 0.4948 Cl
0.3746 0.1329 0.1252 Cl
0.6254 0.8671 0.8748 Cl
0.6805 0.3727 0.5052 Cl
0.8148 0.8194 0.4248 Cl
0.8574 0.4583 0.8053 Cl
```

***

This entry pairs a crystal structure of Mn3Pb5I16 with its computed powder X-ray diffraction pattern. Radiation: Cu Kα, 1.54184 Å. Structure: DFT lattice parameters and positions (GGA-PBE).
Lines closer than 0.1° are merged.

Main lines, in order of rising 2θ (5° ≤ 2θ ≤ 70°):
12.96 deg, rel. 70
25.41 deg, rel. 48
26.01 deg, rel. 67
26.18 deg, rel. 99
29.37 deg, rel. 56
29.60 deg, rel. 64
39.83 deg, rel. 100
40.85 deg, rel. 54

Cell and atoms:
```
Mn3Pb5I16
1.0
7.9082 -4.4177 0.0000
7.9082 4.4177 0.0000
-0.2386 0.0000 14.6905
Mn Pb I
3 5 16
Direct
0.0000 0.0000 0.0000 Mn
0.1681 0.6628 0.4939 Mn
0.6628 0.1681 0.4939 Mn
0.1589 0.1589 0.2596 Pb
0.4918 0.4918 0.7511 Pb
0.4962 0.9956 0.9951 Pb
0.6631 0.6631 0.4946 Pb
0.9956 0.4962 0.9951 Pb
0.0091 0.5206 0.3756 I
0.1430 0.1430 0.8763 I
0.1520 0.6876 0.8837 I
0.3078 0.8176 0.6136 I
0.3105 0.8369 0.1165 I
0.3255 0.3255 0.1325 I
0.3383 0.3383 0.6015 I
0.4843 0.4843 0.3817 I
0.5206 0.0091 0.3756 I
0.6761 0.6761 0.8500 I
0.6876 0.1520 0.8837 I
0.8176 0.3078 0.6136 I
0.8369 0.3105 0.1165 I
0.8439 0.8439 0.6017 I
0.8500 0.8500 0.1140 I
0.9871 0.9871 0.3861 I
```

***

This entry pairs a crystal structure of Nd8CuRh5 with its computed powder X-ray diffraction pattern. Radiation: Cu Kα, 1.54184 Å. Structure: DFT lattice parameters and positions (GGA-PBE).
Lines closer than 0.1° are merged.

Main lines, in order of rising 2θ (5° ≤ 2θ ≤ 70°):
28.32 deg, rel. 26
31.69 deg, rel. 100
31.84 deg, rel. 47
37.72 deg, rel. 49
37.82 deg, rel. 24
52.23 deg, rel. 18
52.37 deg, rel. 28
64.33 deg, rel. 21

Cell and atoms:
```
Nd8CuRh5
1.0
-4.4658 4.4658 4.4419
4.4658 -4.4658 4.4419
4.4658 4.4658 -4.4419
Nd Cu Rh
8 1 5
Direct
0.0066 0.3820 0.2518 Nd
0.1266 0.2626 0.7484 Nd
0.1303 0.7548 0.7482 Nd
0.2452 0.9934 0.3755 Nd
0.5142 0.3782 0.2516 Nd
0.6180 0.8697 0.6245 Nd
0.6218 0.8734 0.1360 Nd
0.7374 0.4858 0.8640 Nd
0.0000 0.0000 0.0000 Cu
0.2443 0.6273 0.1228 Rh
0.3727 0.4956 0.6171 Rh
0.5044 0.1215 0.8772 Rh
0.7500 0.2500 0.5000 Rh
0.8785 0.7557 0.3829 Rh
```